# 1
Simulated X-ray powder pattern of SrYIn6 for a wavelength of 1.5418 Å, from a GGA-PBE-relaxed structure.
Neutral-atom scattering factors, no anomalous dispersion.

Structure:
```
data_SrYIn6
_chemical_formula_sum 'Sr1 Y1 In6'
_space_group_name_H-M_alt 'P 4/m m m'
_space_group_IT_number 123
_space_group_name_Hall '-P 4 2'
_cell_length_a 4.7440
_cell_length_b 4.7440
_cell_length_c 9.5247
_cell_angle_alpha 90.00
_cell_angle_beta 90.00
_cell_angle_gamma 90.00
loop_
_atom_site_label
_atom_site_fract_x
_atom_site_fract_y
_atom_site_fract_z
Sr1 0.0000 0.0000 0.0000
Y1 0.0000 0.0000 0.5000
In1 0.0000 0.5000 0.2582
In2 0.5000 0.5000 0.0000
In3 0.5000 0.5000 0.5000
```

The 10 most intense peaks (2θ from 10° to 90°), in order of rising 2θ:
| h k l | 2θ/deg | I (rel.) |
| --- | --- | --- |
| 1 1 2 | 32.7 | 100 |
| 0 0 4 | 37.8 | 16 |
| 2 0 0 | 37.9 | 33 |
| 2 0 4 | 54.6 | 22 |
| 2 2 0 | 54.7 | 11 |
| 1 1 6 | 65.0 | 12 |
| 3 1 2 | 65.2 | 26 |
| 2 2 4 | 68.4 | 11 |
| 4 0 0 | 81.1 | 3 |
| 3 1 6 | 90.0 | 11 |

---

# 2
Simulated X-ray powder pattern of TbCdInS4 for a wavelength of 1.5418 Å, from a GGA-PBE-relaxed structure.
Neutral-atom scattering factors, no anomalous dispersion.

Structure:
```
data_TbCdInS4
_chemical_formula_sum 'Tb4 Cd4 In4 S16'
_space_group_name_H-M_alt 'I m m a'
_space_group_IT_number 74
_space_group_name_Hall '-I 2b 2'
_cell_length_a 7.8826
_cell_length_b 7.9232
_cell_length_c 11.2348
_cell_angle_alpha 90.00
_cell_angle_beta 90.00
_cell_angle_gamma 90.00
loop_
_atom_site_label
_atom_site_fract_x
_atom_site_fract_y
_atom_site_fract_z
Tb1 0.0000 0.0000 0.0000
Cd1 0.0000 0.2500 0.3764
In1 0.2500 0.2500 0.7500
S1 0.0000 0.0226 0.7536
S2 0.2382 0.2500 0.9893
```

The 10 most intense peaks (2θ from 10° to 90°), in order of rising 2θ:
| h k l | 2θ/deg | I (rel.) |
| --- | --- | --- |
| 1 0 1 | 13.7 | 21 |
| 1 1 2 | 22.4 | 22 |
| 1 0 3 | 26.4 | 100 |
| 2 1 1 | 26.5 | 36 |
| 2 0 2 | 27.6 | 17 |
| 2 2 0 | 32.0 | 25 |
| 1 0 5 | 41.8 | 20 |
| 3 2 1 | 42.0 | 39 |
| 2 2 4 | 45.8 | 70 |
| 4 0 0 | 46.1 | 14 |

---

# 3
Simulated X-ray powder pattern of CePu2Ge2Rh2 for a wavelength of 1.5418 Å, from a GGA-PBE-relaxed structure.
Neutral-atom scattering factors, no anomalous dispersion.

Structure:
```
data_CePu2Ge2Rh2
_chemical_formula_sum 'Ce3 Pu6 Ge6 Rh6'
_space_group_name_H-M_alt 'R -3 m'
_space_group_IT_number 166
_space_group_name_Hall '-R 3 2"'
_cell_length_a 4.2401
_cell_length_b 4.2401
_cell_length_c 25.6714
_cell_angle_alpha 90.00
_cell_angle_beta 90.00
_cell_angle_gamma 120.00
loop_
_atom_site_label
_atom_site_fract_x
_atom_site_fract_y
_atom_site_fract_z
Ce1 0.0000 0.0000 0.0000
Pu1 0.0000 0.0000 0.1522
Ge1 0.0000 0.0000 0.2653
Rh1 0.0000 0.0000 0.4328
```

The 10 most intense peaks (2θ from 10° to 90°), in order of rising 2θ:
| h k l | 2θ/deg | I (rel.) |
| --- | --- | --- |
| 0 0 3 | 10.3 | 77 |
| 1 0 1 | 24.5 | 12 |
| 1 0 7 | 34.6 | 100 |
| 1 1 0 | 42.6 | 70 |
| 1 0 10 | 43.0 | 19 |
| 1 1 3 | 44.0 | 15 |
| 0 2 7 | 56.0 | 38 |
| 1 1 12 | 61.6 | 12 |
| 2 1 7 | 72.9 | 29 |
| 3 0 0 | 78.1 | 12 |

---

# 4
Simulated X-ray powder pattern of La2In6Au for a wavelength of 1.5418 Å, from a GGA-PBE-relaxed structure.
Neutral-atom scattering factors, no anomalous dispersion.

Structure:
```
data_La2In6Au
_chemical_formula_sum 'La4 In12 Au2'
_space_group_name_H-M_alt 'A m m 2'
_space_group_IT_number 38
_space_group_name_Hall 'A 2 -2'
_cell_length_a 3.8571
_cell_length_b 4.9056
_cell_length_c 26.3980
_cell_angle_alpha 90.00
_cell_angle_beta 90.00
_cell_angle_gamma 90.00
loop_
_atom_site_label
_atom_site_fract_x
_atom_site_fract_y
_atom_site_fract_z
La1 0.0000 0.0000 0.0000
La2 0.0000 0.0000 0.3316
In1 0.0000 0.0000 0.6315
In2 0.0000 0.0000 0.7460
In3 0.5000 0.0000 0.1089
In4 0.5000 0.0000 0.2197
In5 0.5000 0.0000 0.4415
In6 0.5000 0.0000 0.8793
Au1 0.5000 0.0000 0.5468
```

The 10 most intense peaks (2θ from 10° to 90°), in order of rising 2θ:
| h k l | 2θ/deg | I (rel.) |
| --- | --- | --- |
| 1 0 6 | 30.8 | 26 |
| 1 1 3 | 31.2 | 100 |
| 0 1 9 | 35.7 | 52 |
| 0 2 0 | 36.6 | 38 |
| 1 1 7 | 38.1 | 23 |
| 2 0 0 | 47.1 | 18 |
| 1 0 12 | 47.6 | 15 |
| 1 2 6 | 48.6 | 15 |
| 2 1 9 | 60.5 | 22 |
| 2 2 0 | 61.1 | 19 |

---

# 5
Simulated X-ray powder pattern of LiPm4Al2 for a wavelength of 1.5418 Å, from a GGA-PBE-relaxed structure.
Neutral-atom scattering factors, no anomalous dispersion.

Structure:
```
data_LiPm4Al2
_chemical_formula_sum 'Li3 Pm12 Al6'
_space_group_name_H-M_alt 'R -3 m'
_space_group_IT_number 166
_space_group_name_Hall '-R 3 2"'
_cell_length_a 5.2369
_cell_length_b 5.2369
_cell_length_c 25.0986
_cell_angle_alpha 90.00
_cell_angle_beta 90.00
_cell_angle_gamma 120.00
loop_
_atom_site_label
_atom_site_fract_x
_atom_site_fract_y
_atom_site_fract_z
Li1 0.0000 0.0000 0.0000
Pm1 0.0000 0.0000 0.1307
Pm2 0.0000 0.0000 0.3838
Al1 0.0000 0.0000 0.2565
```

The 10 most intense peaks (2θ from 10° to 90°), in order of rising 2θ:
| h k l | 2θ/deg | I (rel.) |
| --- | --- | --- |
| 1 0 4 | 24.2 | 100 |
| 1 1 0 | 34.2 | 64 |
| 0 1 8 | 34.8 | 54 |
| 0 2 4 | 42.4 | 23 |
| 2 0 8 | 49.6 | 20 |
| 2 1 4 | 55.6 | 21 |
| 1 1 12 | 56.3 | 15 |
| 3 0 0 | 61.3 | 12 |
| 1 2 8 | 61.7 | 20 |
| 3 1 8 | 82.6 | 9 |

---

# 6
Simulated X-ray powder pattern of Sm2HoScBi4 for a wavelength of 1.5418 Å, from a GGA-PBE-relaxed structure.
Neutral-atom scattering factors, no anomalous dispersion.

Structure:
```
data_Sm2HoScBi4
_chemical_formula_sum 'Sm2 Ho1 Sc1 Bi4'
_space_group_name_H-M_alt 'P 1 2/m 1'
_space_group_IT_number 10
_space_group_name_Hall '-P 2y'
_cell_length_a 7.7252
_cell_length_b 4.4703
_cell_length_c 7.7386
_cell_angle_alpha 90.00
_cell_angle_beta 109.51
_cell_angle_gamma 90.00
loop_
_atom_site_label
_atom_site_fract_x
_atom_site_fract_y
_atom_site_fract_z
Sm1 0.0000 0.0000 0.0000
Sm2 0.0000 0.5000 0.5000
Ho1 0.5000 0.0000 0.5000
Sc1 0.5000 0.5000 0.0000
Bi1 0.2611 0.5000 0.2478
Bi2 0.2653 0.0000 0.7608
```

The 10 most intense peaks (2θ from 10° to 90°), in order of rising 2θ:
| h k l | 2θ/deg | I (rel.) |
| --- | --- | --- |
| 1 1 -1 | 24.4 | 10 |
| 1 1 1 | 28.3 | 100 |
| 0 2 0 | 40.4 | 77 |
| 2 2 -2 | 50.0 | 21 |
| 4 0 0 | 50.1 | 7 |
| 2 2 2 | 58.5 | 13 |
| 1 3 1 | 66.1 | 24 |
| 5 1 -3 | 66.2 | 12 |
| 1 3 -3 | 73.4 | 20 |
| 6 0 -2 | 73.6 | 6 |

---

# 7
Simulated X-ray powder pattern of YEr5Cd6 for a wavelength of 1.5418 Å, from a GGA-PBE-relaxed structure.
Neutral-atom scattering factors, no anomalous dispersion.

Structure:
```
data_YEr5Cd6
_chemical_formula_sum 'Y2 Er10 Cd12'
_space_group_name_H-M_alt 'C m m m'
_space_group_IT_number 65
_space_group_name_Hall '-C 2 2'
_cell_length_a 5.2484
_cell_length_b 15.7861
_cell_length_c 7.4471
_cell_angle_alpha 90.00
_cell_angle_beta 90.00
_cell_angle_gamma 90.00
loop_
_atom_site_label
_atom_site_fract_x
_atom_site_fract_y
_atom_site_fract_z
Y1 0.0000 0.0000 0.0000
Er1 0.0000 0.0000 0.5000
Er2 0.0000 0.3327 0.0000
Er3 0.0000 0.3340 0.5000
Cd1 0.0000 0.1674 0.2518
Cd2 0.0000 0.5000 0.2513
```

The 10 most intense peaks (2θ from 10° to 90°), in order of rising 2θ:
| h k l | 2θ/deg | I (rel.) |
| --- | --- | --- |
| 1 3 0 | 23.9 | 2 |
| 2 0 0 | 34.1 | 100 |
| 0 0 4 | 48.9 | 6 |
| 2 6 0 | 49.0 | 12 |
| 2 0 4 | 61.0 | 24 |
| 3 3 2 | 61.1 | 12 |
| 2 6 4 | 71.8 | 9 |
| 1 3 6 | 81.8 | 5 |
| 3 9 2 | 82.0 | 8 |
| 4 6 0 | 82.1 | 3 |

---

# 8
Simulated X-ray powder pattern of ZrUGa for a wavelength of 1.5418 Å, from a GGA-PBE-relaxed structure.
Neutral-atom scattering factors, no anomalous dispersion.

Structure:
```
data_ZrUGa
_chemical_formula_sum 'Zr1 U1 Ga1'
_space_group_name_H-M_alt 'P -6 m 2'
_space_group_IT_number 187
_space_group_name_Hall 'P -6 2'
_cell_length_a 5.0112
_cell_length_b 5.0112
_cell_length_c 2.9190
_cell_angle_alpha 90.00
_cell_angle_beta 90.00
_cell_angle_gamma 120.00
loop_
_atom_site_label
_atom_site_fract_x
_atom_site_fract_y
_atom_site_fract_z
Zr1 0.0000 0.0000 0.0000
U1 0.6667 0.3333 0.5000
Ga1 0.3333 0.6667 0.0000
```

The 10 most intense peaks (2θ from 10° to 90°), in order of rising 2θ:
| h k l | 2θ/deg | I (rel.) |
| --- | --- | --- |
| 1 0 0 | 20.5 | 46 |
| 1 1 0 | 35.8 | 88 |
| 1 0 1 | 37.1 | 100 |
| 2 0 0 | 41.6 | 8 |
| 2 0 1 | 52.6 | 37 |
| 3 0 0 | 64.4 | 16 |
| 2 1 1 | 65.2 | 39 |
| 1 1 2 | 75.4 | 21 |
| 2 2 0 | 76.0 | 10 |
| 3 1 1 | 87.7 | 19 |

---

# 9
Simulated X-ray powder pattern of SrPdW for a wavelength of 1.5418 Å, from a GGA-PBE-relaxed structure.
Neutral-atom scattering factors, no anomalous dispersion.

Structure:
```
data_SrPdW
_chemical_formula_sum 'Sr4 Pd4 W4'
_space_group_name_H-M_alt 'I m m 2'
_space_group_IT_number 44
_space_group_name_Hall 'I 2 -2'
_cell_length_a 3.4176
_cell_length_b 18.5520
_cell_length_c 4.4806
_cell_angle_alpha 90.00
_cell_angle_beta 90.00
_cell_angle_gamma 90.00
loop_
_atom_site_label
_atom_site_fract_x
_atom_site_fract_y
_atom_site_fract_z
Sr1 0.0000 0.1686 0.0000
Pd1 0.0000 0.3909 0.0017
W1 0.0000 0.0000 0.6087
W2 0.0000 0.5000 0.5380
```

The 10 most intense peaks (2θ from 10° to 90°), in order of rising 2θ:
| h k l | 2θ/deg | I (rel.) |
| --- | --- | --- |
| 0 6 0 | 28.9 | 24 |
| 0 5 1 | 31.3 | 28 |
| 1 2 1 | 34.4 | 56 |
| 1 5 0 | 35.7 | 15 |
| 1 4 1 | 38.4 | 100 |
| 0 0 2 | 40.3 | 24 |
| 1 6 1 | 44.4 | 17 |
| 1 9 0 | 51.8 | 19 |
| 2 0 0 | 53.6 | 14 |
| 0 5 3 | 67.6 | 20 |

---

# 10
Simulated X-ray powder pattern of Sr3DyGa2O8 for a wavelength of 1.5418 Å, from a GGA-PBE-relaxed structure.
Neutral-atom scattering factors, no anomalous dispersion.

Structure:
```
data_Sr3DyGa2O8
_chemical_formula_sum 'Sr3 Dy1 Ga2 O8'
_space_group_name_H-M_alt 'P -3 m 1'
_space_group_IT_number 164
_space_group_name_Hall '-P 3 2"'
_cell_length_a 5.9167
_cell_length_b 5.9167
_cell_length_c 7.2710
_cell_angle_alpha 90.00
_cell_angle_beta 90.00
_cell_angle_gamma 120.00
loop_
_atom_site_label
_atom_site_fract_x
_atom_site_fract_y
_atom_site_fract_z
Sr1 0.0000 0.0000 0.0000
Sr2 0.3333 0.6667 0.6382
Dy1 0.0000 0.0000 0.5000
Ga1 0.3333 0.6667 0.2003
O1 0.1701 0.3401 0.3126
O2 0.3333 0.6667 0.9533
```

The 10 most intense peaks (2θ from 10° to 90°), in order of rising 2θ:
| h k l | 2θ/deg | I (rel.) |
| --- | --- | --- |
| 0 0 1 | 12.2 | 11 |
| 1 1 0 | 30.2 | 100 |
| 2 0 2 | 43.2 | 25 |
| 1 0 4 | 53.5 | 8 |
| 3 0 0 | 53.6 | 29 |
| 0 2 4 | 62.7 | 7 |
| 2 2 0 | 62.8 | 10 |
| 2 1 4 | 71.1 | 7 |
| 3 1 2 | 71.2 | 8 |
| 4 1 0 | 87.2 | 10 |

---

# 11
Simulated X-ray powder pattern of Pr8Er2Tl for a wavelength of 1.5418 Å, from a GGA-PBE-relaxed structure.
Neutral-atom scattering factors, no anomalous dispersion.

Structure:
```
data_Pr8Er2Tl
_chemical_formula_sum 'Pr8 Er2 Tl1'
_space_group_name_H-M_alt 'P 1 2/m 1'
_space_group_IT_number 10
_space_group_name_Hall '-P 2y'
_cell_length_a 8.4923
_cell_length_b 5.5052
_cell_length_c 8.4964
_cell_angle_alpha 90.00
_cell_angle_beta 103.41
_cell_angle_gamma 90.00
loop_
_atom_site_label
_atom_site_fract_x
_atom_site_fract_y
_atom_site_fract_z
Pr1 0.0274 0.0000 0.3002
Pr2 0.2524 0.5000 0.7489
Pr3 0.3002 0.0000 0.0278
Pr4 0.3345 0.5000 0.3347
Er1 0.3788 0.0000 0.6212
Tl1 0.0000 0.5000 0.0000
```

The 10 most intense peaks (2θ from 10° to 90°), in order of rising 2θ:
| h k l | 2θ/deg | I (rel.) |
| --- | --- | --- |
| 1 1 2 | 31.0 | 92 |
| 2 1 -2 | 31.4 | 100 |
| 0 2 0 | 32.5 | 94 |
| 1 0 -4 | 42.6 | 15 |
| 3 2 0 | 46.7 | 35 |
| 1 2 -4 | 54.6 | 15 |
| 1 3 2 | 57.1 | 16 |
| 2 3 -2 | 57.3 | 18 |
| 5 1 -2 | 57.5 | 20 |
| 1 1 5 | 62.1 | 14 |

---

# 12
Simulated X-ray powder pattern of Pr2Tm3Ag2 for a wavelength of 1.5418 Å, from a GGA-PBE-relaxed structure.
Neutral-atom scattering factors, no anomalous dispersion.

Structure:
```
data_Pr2Tm3Ag2
_chemical_formula_sum 'Pr4 Tm6 Ag4'
_space_group_name_H-M_alt 'C 1 2/m 1'
_space_group_IT_number 12
_space_group_name_Hall '-C 2y'
_cell_length_a 10.9244
_cell_length_b 5.0045
_cell_length_c 8.1649
_cell_angle_alpha 90.00
_cell_angle_beta 114.65
_cell_angle_gamma 90.00
loop_
_atom_site_label
_atom_site_fract_x
_atom_site_fract_y
_atom_site_fract_z
Pr1 0.1254 0.0000 0.2676
Tm1 0.0000 0.5000 0.5000
Tm2 0.1371 0.5000 0.9559
Ag1 0.1511 0.0000 0.6833
```

The 10 most intense peaks (2θ from 10° to 90°), in order of rising 2θ:
| h k l | 2θ/deg | I (rel.) |
| --- | --- | --- |
| 1 1 -2 | 28.2 | 37 |
| 3 1 -1 | 30.4 | 100 |
| 3 1 -2 | 33.0 | 43 |
| 2 0 -3 | 33.0 | 38 |
| 1 1 2 | 34.2 | 100 |
| 0 2 0 | 35.9 | 60 |
| 4 0 0 | 36.2 | 22 |
| 2 2 -3 | 49.6 | 27 |
| 3 1 -5 | 59.6 | 21 |
| 7 1 -2 | 62.3 | 22 |

---

# 13
Simulated X-ray powder pattern of LiNpZn17 for a wavelength of 1.5418 Å, from a GGA-PBE-relaxed structure.
Neutral-atom scattering factors, no anomalous dispersion.

Structure:
```
data_LiNpZn17
_chemical_formula_sum 'Li3 Np3 Zn51'
_space_group_name_H-M_alt 'R 3 m'
_space_group_IT_number 160
_space_group_name_Hall 'R 3 -2"'
_cell_length_a 8.9613
_cell_length_b 8.9613
_cell_length_c 13.1902
_cell_angle_alpha 90.00
_cell_angle_beta 90.00
_cell_angle_gamma 120.00
loop_
_atom_site_label
_atom_site_fract_x
_atom_site_fract_y
_atom_site_fract_z
Li1 0.0000 0.0000 0.0000
Np1 0.0000 0.0000 0.3203
Zn1 0.0000 0.0000 0.5593
Zn2 0.0000 0.0000 0.7636
Zn3 0.0040 0.3028 0.6579
Zn4 0.0107 0.5053 0.1548
Zn5 0.0152 0.5076 0.8098
Zn6 0.1684 0.3369 0.8419
```

The 10 most intense peaks (2θ from 10° to 90°), in order of rising 2θ:
| h k l | 2θ/deg | I (rel.) |
| --- | --- | --- |
| 1 0 1 | 13.2 | 45 |
| 0 1 2 | 17.6 | 25 |
| 3 0 0 | 34.7 | 38 |
| 0 2 4 | 35.7 | 33 |
| 2 2 0 | 40.3 | 58 |
| 0 3 3 | 40.5 | 100 |
| 0 0 6 | 41.1 | 33 |
| 2 0 5 | 41.4 | 25 |
| 2 2 3 | 45.4 | 44 |
| 6 0 0 | 73.2 | 27 |